Starting from a crystal structure in Alexandria, relaxed with GGA+U, the powder X-ray diffraction pattern of Li2Mn3VO8 was calculated for CuKα.
Intensities are scaled so that the largest is 100.

Structural model:
```
28
Lattice="3.016 -5.004 0.000 3.016 5.004 0.000 0.000 0.000 9.628" Properties=species:S:1:pos:R:3 pbc="T T T"
Li 3.016 4.954 4.814
Li 3.016 1.704 8.722
Li 3.016 -1.704 3.908
Li 3.016 -4.954 0.000
Mn 3.016 3.312 2.129
Mn 1.539 0.833 2.120
Mn 1.539 -0.833 6.934
Mn 4.492 0.833 2.120
Mn 4.492 -0.833 6.934
Mn 3.016 -3.312 6.943
V 3.016 1.636 4.754
V 3.016 -1.636 9.568
O 3.016 4.974 7.825
O 1.706 2.432 3.281
O 1.431 0.812 5.848
O 3.016 3.212 5.655
O 1.431 -0.812 1.034
O 3.016 1.668 1.132
O 4.326 2.432 3.281
O 3.016 0.187 3.580
O 3.016 -0.187 8.394
O 1.706 -2.432 8.095
O 3.016 -1.668 5.946
O 4.601 0.812 5.848
O 3.016 -3.212 0.841
O 4.601 -0.812 1.034
O 4.326 -2.432 8.095
O 3.016 -4.974 3.011
```

Principal peaks in the range 10° ≤ 2θ ≤ 90°, in order of falling intensity:
Position (°2θ), intensity
19.5, 100
18.4, 90
45.1, 62
36.0, 50
39.6, 42
36.0, 42
59.9, 40
20.0, 40
63.8, 36
32.9, 36